# Tm4SnPd2
Computed powder diffractogram, a wavelength of 1.5418 Å. Input: a DFT-relaxed cell (PBE, Alexandria).
Neutral-atom scattering factors, no anomalous dispersion.

Largest 10 diffraction maxima, sorted by position, 2θ = 10–90°:
d_spacing	I/Imax
3.536	21.5
3.327	74.0
2.913	21.9
2.381	78.4
2.326	100.0
2.233	14.4
1.906	15.9
1.664	26.3
1.353	26.4
1.343	17.6

Structure:
a b c (Å): 4.6512 4.6512 29.5222
angles (deg): 90.00 90.00 120.00
Space group R-3m (No. 166, hexagonal axes)
Symmetry-distinct sites (fractional):
Tm (0.0000, 0.0000, 0.1153)
Tm (0.0000, 0.0000, 0.2986)
Sn (0.0000, 0.0000, 0.5000)
Pd (0.0000, 0.0000, 0.3999)